[1]
Simulated PXRD pattern
Compound: K2HfTiO5
Radiation: copper Kα
Structure: DFT lattice parameters and positions (GGA-PBE)
No peak broadening, texture or thermal motion is included.

Atomic structure:
a b c (Å): 3.3109 12.8245 13.2074
angles (deg): 90.00 90.00 90.00
Space group Cmc2_1 (No. 36)
Symmetry-distinct sites (fractional):
K (0.0000, 0.0729, 0.0000) (multiplicity 4)
K (0.0000, 0.1700, 0.6163) (multiplicity 4)
Hf (0.0000, 0.2233, 0.3500) (multiplicity 4)
Ti (0.0000, 0.4815, 0.7687) (multiplicity 4)
O (0.0000, 0.0514, 0.3380) (multiplicity 4)
O (0.0000, 0.2745, 0.9506) (multiplicity 4)
O (0.0000, 0.3150, 0.7537) (multiplicity 4)
O (0.0000, 0.3764, 0.3178) (multiplicity 4)
O (0.0000, 0.4946, 0.1387) (multiplicity 4)

Most intense lines, 15° ≤ 2θ ≤ 90°, by intensity:
| 2θ (°) | I (rel.) | index |
| --- | --- | --- |
| 34.6 | 100 | 1 1 3 |
| 28.7 | 94 | 1 1 1 |
| 19.3 | 78 | 0 2 2 |
| 31.0 | 51 | 0 4 2 |
| 30.5 | 47 | 0 2 4 |
| 44.4 | 42 | 1 1 5 |
| 34.9 | 41 | 1 3 1 |
| 27.0 | 28 | 0 0 4 |
| 24.5 | 27 | 0 2 3 |
| 56.6 | 25 | 1 1 7 |

***

[2]
Simulated PXRD pattern
Compound: K3HfTi2O8
Radiation: copper Kα
Structure: DFT lattice parameters and positions (GGA-PBE)
No peak broadening, texture or thermal motion is included.

Atomic structure:
a b c (Å): 5.9212 5.9212 7.6895
angles (deg): 90.00 90.00 120.00
Space group P-3m1 (No. 164)
Symmetry-distinct sites (fractional):
K (0.0000, 0.0000, 0.0000) (multiplicity 1)
K (0.3333, 0.6667, 0.6893) (multiplicity 2)
Hf (0.0000, 0.0000, 0.5000) (multiplicity 1)
Ti (0.3333, 0.6667, 0.2549) (multiplicity 2)
O (0.1648, 0.3296, 0.3401) (multiplicity 6)
O (0.3333, 0.6667, 0.0243) (multiplicity 2)

Most intense lines, 15° ≤ 2θ ≤ 90°, by intensity:
| 2θ (°) | I (rel.) | index |
| --- | --- | --- |
| 29.0 | 100 | 0 1 2 |
| 30.2 | 96 | 1 1 0 |
| 20.8 | 70 | 1 0 1 |
| 42.4 | 50 | 2 0 2 |
| 17.3 | 37 | 1 0 0 |
| 52.9 | 37 | 1 2 2 |
| 57.1 | 24 | 1 1 4 |
| 39.3 | 19 | 0 1 3 |
| 53.6 | 17 | 3 0 0 |
| 62.8 | 17 | 2 2 0 |

***

[3]
Simulated PXRD pattern
Compound: KTm2Hf2O7
Radiation: copper Kα
Structure: DFT lattice parameters and positions (GGA-PBE)
No peak broadening, texture or thermal motion is included.

Atomic structure:
a b c (Å): 4.2600 4.4212 18.2510
angles (deg): 90.00 90.00 90.00
Space group Immm (No. 71)
Symmetry-distinct sites (fractional):
K (0.0000, 0.0000, 0.0000) (multiplicity 2)
Tm (0.0000, 0.5000, 0.2591) (multiplicity 4)
Hf (0.0000, 0.0000, 0.3911) (multiplicity 4)
O (0.0000, 0.0000, 0.2699) (multiplicity 4)
O (0.0000, 0.0000, 0.5000) (multiplicity 2)
O (0.0000, 0.5000, 0.1275) (multiplicity 4)
O (0.0000, 0.5000, 0.3805) (multiplicity 4)

Most intense lines, 15° ≤ 2θ ≤ 90°, by intensity:
| 2θ (°) | I (rel.) | index |
| --- | --- | --- |
| 30.7 | 100 | 1 1 2 |
| 35.3 | 94 | 1 1 4 |
| 21.4 | 50 | 1 0 1 |
| 31.8 | 46 | 0 1 5 |
| 40.8 | 45 | 0 2 0 |
| 42.4 | 40 | 2 0 0 |
| 20.7 | 39 | 0 1 1 |
| 29.4 | 36 | 0 0 6 |
| 58.9 | 35 | 1 1 10 |
| 39.5 | 32 | 0 0 8 |

***

[4]
Simulated PXRD pattern
Compound: KHf2Os
Radiation: copper Kα
Structure: DFT lattice parameters and positions (GGA-PBE)
No peak broadening, texture or thermal motion is included.

Atomic structure:
a b c (Å): 6.8746 6.8746 6.8746
angles (deg): 90.00 90.00 90.00
Space group Fm-3m (No. 225)
Symmetry-distinct sites (fractional):
K (0.0000, 0.0000, 0.0000) (multiplicity 4)
Hf (0.2500, 0.2500, 0.2500) (multiplicity 8)
Os (0.0000, 0.0000, 0.5000) (multiplicity 4)

Most intense lines, 15° ≤ 2θ ≤ 90°, by intensity:
| 2θ (°) | I (rel.) | index |
| --- | --- | --- |
| 37.0 | 100 | 2 2 0 |
| 66.6 | 36 | 4 2 2 |
| 53.3 | 18 | 4 0 0 |
| 22.4 | 15 | 1 1 1 |
| 78.7 | 11 | 4 4 0 |
| 43.7 | 8 | 3 1 1 |
| 25.9 | 6 | 2 0 0 |
| 58.5 | 4 | 3 3 1 |
| 83.1 | 3 | 5 3 1 |
| 71.3 | 3 | 5 1 1 |

***

[5]
Simulated PXRD pattern
Compound: KHfPS6
Radiation: copper Kα
Structure: DFT lattice parameters and positions (GGA-PBE)
No peak broadening, texture or thermal motion is included.

Atomic structure:
a b c (Å): 6.2037 6.2037 7.3347
angles (deg): 90.00 90.00 120.00
Space group P312 (No. 149)
Symmetry-distinct sites (fractional):
K (0.0000, 0.0000, 0.0000) (multiplicity 1)
Hf (0.3333, 0.6667, 0.5000) (multiplicity 1)
P (0.6667, 0.3333, 0.5000) (multiplicity 1)
S (0.3839, 0.0358, 0.6800) (multiplicity 6)

Most intense lines, 15° ≤ 2θ ≤ 90°, by intensity:
| 2θ (°) | I (rel.) | index |
| --- | --- | --- |
| 20.5 | 100 | 1 0 1 |
| 38.0 | 59 | 2 -1 2 |
| 16.5 | 36 | 1 0 0 |
| 31.3 | 35 | 2 -1 1 |
| 46.4 | 27 | 2 1 1 |
| 29.5 | 24 | 1 0 2 |
| 35.6 | 23 | 2 0 1 |
| 47.3 | 19 | 1 1 3 |
| 51.0 | 18 | 3 0 0 |
| 40.5 | 17 | 1 0 3 |

***

[6]
Simulated PXRD pattern
Compound: K2Hf3PbS8
Radiation: copper Kα
Structure: DFT lattice parameters and positions (GGA-PBE)
No peak broadening, texture or thermal motion is included.

Atomic structure:
a b c (Å): 7.5814 7.5814 23.4647
angles (deg): 90.00 90.00 120.00
Space group R3m (No. 160, hexagonal axes)
Symmetry-distinct sites (fractional):
K (0.0000, 0.0000, 0.0000) (multiplicity 3)
K (0.0000, 0.0000, 0.3532) (multiplicity 3)
Hf (0.0063, 0.5032, 0.8607) (multiplicity 9)
Pb (0.0000, 0.0000, 0.7460) (multiplicity 3)
S (0.0000, 0.0000, 0.1310) (multiplicity 3)
S (0.0000, 0.0000, 0.5848) (multiplicity 3)
S (0.0322, 0.5161, 0.1286) (multiplicity 9)
S (0.1744, 0.3489, 0.9158) (multiplicity 9)

Most intense lines, 15° ≤ 2θ ≤ 90°, by intensity:
| 2θ (°) | I (rel.) | index |
| --- | --- | --- |
| 27.4 | 100 | 0 2 1 |
| 26.1 | 87 | 1 1 3 |
| 20.3 | 76 | 1 0 4 |
| 38.4 | 70 | 0 2 7 |
| 41.3 | 66 | 2 0 8 |
| 48.0 | 62 | 2 2 0 |
| 23.3 | 60 | 0 1 5 |
| 31.2 | 56 | 0 2 4 |
| 15.5 | 41 | 0 1 2 |
| 41.1 | 34 | 1 2 5 |

***

[7]
Simulated PXRD pattern
Compound: K2Pu2HfSe6
Radiation: copper Kα
Structure: DFT lattice parameters and positions (GGA-PBE)
No peak broadening, texture or thermal motion is included.

Atomic structure:
a b c (Å): 7.1550 12.2681 8.1942
angles (deg): 90.00 107.28 90.00
Space group C2/m (No. 12)
Symmetry-distinct sites (fractional):
K (0.0000, 0.1705, 0.0000) (multiplicity 4)
Pu (0.0000, 0.3334, 0.5000) (multiplicity 4)
Hf (0.0000, 0.0000, 0.5000) (multiplicity 2)
Se (0.2254, 0.1567, 0.6985) (multiplicity 8)
Se (0.2443, 0.0000, 0.3024) (multiplicity 4)

Most intense lines, 15° ≤ 2θ ≤ 90°, by intensity:
| 2θ (°) | I (rel.) | index |
| --- | --- | --- |
| 29.4 | 100 | 1 3 1 |
| 39.8 | 53 | 2 0 2 |
| 29.2 | 52 | 2 0 -2 |
| 43.9 | 35 | 3 3 -1 |
| 36.9 | 32 | 1 3 2 |
| 25.4 | 28 | 1 3 0 |
| 49.8 | 18 | 1 3 -4 |
| 53.9 | 17 | 2 6 -2 |
| 44.3 | 17 | 0 6 0 |
| 36.6 | 17 | 2 0 -3 |

***

[8]
Simulated PXRD pattern
Compound: KRbHfS3
Radiation: copper Kα
Structure: DFT lattice parameters and positions (GGA-PBE)
No peak broadening, texture or thermal motion is included.

Atomic structure:
a b c (Å): 7.5966 14.9029 6.8468
angles (deg): 90.00 101.46 90.00
Space group C2/c (No. 15)
Symmetry-distinct sites (fractional):
K (0.0000, 0.0859, 0.2500) (multiplicity 4)
Rb (0.0000, 0.2613, 0.7500) (multiplicity 4)
Hf (0.0000, 0.4508, 0.2500) (multiplicity 4)
S (0.0000, 0.2915, 0.2500) (multiplicity 4)
S (0.2114, 0.4614, 0.9991) (multiplicity 8)

Most intense lines, 15° ≤ 2θ ≤ 90°, by intensity:
| 2θ (°) | I (rel.) | index |
| --- | --- | --- |
| 26.6 | 100 | 1 3 1 |
| 23.9 | 59 | 2 0 0 |
| 24.0 | 42 | 1 3 -1 |
| 32.2 | 40 | 2 0 -2 |
| 40.5 | 28 | 3 3 -1 |
| 43.8 | 24 | 1 3 -3 |
| 39.6 | 22 | 2 0 2 |
| 36.0 | 16 | 1 5 1 |
| 27.6 | 13 | 1 1 -2 |
| 47.1 | 13 | 1 7 1 |

***

[9]
Simulated PXRD pattern
Compound: K3HfS3
Radiation: copper Kα
Structure: DFT lattice parameters and positions (GGA-PBE)
No peak broadening, texture or thermal motion is included.

Atomic structure:
a b c (Å): 7.8655 13.2852 10.2163
angles (deg): 90.00 126.14 90.00
Space group P2_1/c (No. 14)
Symmetry-distinct sites (fractional):
K (0.1031, 0.1265, 0.4767) (multiplicity 4)
K (0.1606, 0.1011, 0.8966) (multiplicity 4)
K (0.3329, 0.6772, 0.5470) (multiplicity 4)
Hf (0.4448, 0.0628, 0.3419) (multiplicity 4)
S (0.1782, 0.1922, 0.2066) (multiplicity 4)
S (0.3211, 0.6039, 0.8665) (multiplicity 4)
S (0.3611, 0.5428, 0.2698) (multiplicity 4)

Most intense lines, 15° ≤ 2θ ≤ 90°, by intensity:
| 2θ (°) | I (rel.) | index |
| --- | --- | --- |
| 30.8 | 100 | 2 2 -3 |
| 19.3 | 88 | 1 2 0 |
| 24.3 | 81 | 2 1 -1 |
| 29.3 | 70 | 1 4 -1 |
| 17.1 | 54 | 0 2 1 |
| 27.5 | 52 | 1 1 -3 |
| 29.0 | 46 | 0 4 1 |
| 35.2 | 46 | 2 0 -4 |
| 29.6 | 45 | 0 3 2 |
| 38.2 | 41 | 1 3 2 |

***

[10]
Simulated PXRD pattern
Compound: KHfS3
Radiation: copper Kα
Structure: DFT lattice parameters and positions (GGA-PBE)
No peak broadening, texture or thermal motion is included.

Atomic structure:
a b c (Å): 7.1419 10.0427 7.8787
angles (deg): 90.00 116.81 90.00
Space group Cm (No. 8)
Symmetry-distinct sites (fractional):
K (0.0000, 0.0000, 0.0000) (multiplicity 2)
K (0.0078, 0.5000, 0.0025) (multiplicity 2)
Hf (0.2411, 0.2499, 0.4779) (multiplicity 4)
S (0.1065, 0.3101, 0.7099) (multiplicity 4)
S (0.1585, 0.0000, 0.5198) (multiplicity 2)
S (0.3643, 0.2368, 0.2229) (multiplicity 4)
S (0.3649, 0.5000, 0.5191) (multiplicity 2)

Most intense lines, 15° ≤ 2θ ≤ 90°, by intensity:
| 2θ (°) | I (rel.) | index |
| --- | --- | --- |
| 21.7 | 100 | 0 2 1 |
| 33.3 | 85 | 2 2 -2 |
| 35.8 | 67 | 2 0 1 |
| 17.7 | 59 | 0 2 0 |
| 40.2 | 41 | 2 2 1 |
| 51.5 | 37 | 2 4 1 |
| 35.9 | 34 | 2 0 -3 |
| 25.3 | 33 | 0 0 2 |
| 28.0 | 31 | 2 0 -2 |
| 56.2 | 26 | 4 2 -1 |

***

[11]
Simulated PXRD pattern
Compound: KHf3S6
Radiation: copper Kα
Structure: DFT lattice parameters and positions (GGA-PBE)
No peak broadening, texture or thermal motion is included.

Atomic structure:
a b c (Å): 11.4328 3.6479 11.4713
angles (deg): 90.00 107.49 90.00
Space group P2_1/m (No. 11)
Symmetry-distinct sites (fractional):
K (0.1314, 0.2500, 0.4058) (multiplicity 2)
Hf (0.1461, 0.7500, 0.0337) (multiplicity 2)
Hf (0.2314, 0.2500, 0.7972) (multiplicity 2)
Hf (0.4633, 0.2500, 0.3475) (multiplicity 2)
S (0.0372, 0.2500, 0.8725) (multiplicity 2)
S (0.1479, 0.7500, 0.6441) (multiplicity 2)
S (0.2502, 0.2500, 0.1826) (multiplicity 2)
S (0.3269, 0.7500, 0.9517) (multiplicity 2)
S (0.3668, 0.7500, 0.4480) (multiplicity 2)
S (0.4384, 0.2500, 0.7401) (multiplicity 2)

Most intense lines, 15° ≤ 2θ ≤ 90°, by intensity:
| 2θ (°) | I (rel.) | index |
| --- | --- | --- |
| 29.2 | 100 | 1 1 -2 |
| 29.4 | 69 | 0 1 2 |
| 31.9 | 62 | 1 1 2 |
| 15.8 | 60 | 2 0 -1 |
| 48.5 | 55 | 3 1 -5 |
| 24.5 | 51 | 3 0 0 |
| 37.5 | 44 | 1 1 3 |
| 48.6 | 43 | 5 1 0 |
| 20.2 | 39 | 1 0 2 |
| 25.0 | 37 | 2 0 -3 |

***

[12]
Simulated PXRD pattern
Compound: KHf5S8
Radiation: copper Kα
Structure: DFT lattice parameters and positions (GGA-PBE)
No peak broadening, texture or thermal motion is included.

Atomic structure:
a b c (Å): 18.4453 3.5803 9.4099
angles (deg): 90.00 104.70 90.00
Space group Cm (No. 8)
Symmetry-distinct sites (fractional):
K (0.0000, 0.0000, 0.0000) (multiplicity 2)
Hf (0.9999, 0.5000, 0.4995) (multiplicity 2)
Hf (0.1666, 0.0000, 0.4912) (multiplicity 2)
Hf (0.2073, 0.0000, 0.8510) (multiplicity 2)
Hf (0.2924, 0.5000, 0.1479) (multiplicity 2)
Hf (0.3332, 0.5000, 0.5077) (multiplicity 2)
S (0.0770, 0.0000, 0.6627) (multiplicity 2)
S (0.0879, 0.5000, 0.3272) (multiplicity 2)
S (0.1586, 0.5000, 0.9947) (multiplicity 2)
S (0.2418, 0.5000, 0.6742) (multiplicity 2)
S (0.2579, 0.0000, 0.3247) (multiplicity 2)
S (0.3412, 0.0000, 0.0042) (multiplicity 2)
S (0.4119, 0.0000, 0.6718) (multiplicity 2)
S (0.4227, 0.5000, 0.3362) (multiplicity 2)

Most intense lines, 15° ≤ 2θ ≤ 90°, by intensity:
| 2θ (°) | I (rel.) | index |
| --- | --- | --- |
| 29.1 | 100 | 3 1 0 |
| 38.9 | 72 | 3 1 -3 |
| 29.5 | 60 | 0 0 3 |
| 37.4 | 49 | 3 1 2 |
| 51.4 | 45 | 9 1 -1 |
| 31.4 | 40 | 6 0 -2 |
| 19.5 | 40 | 0 0 2 |
| 40.2 | 39 | 6 0 2 |
| 44.7 | 31 | 3 1 3 |
| 19.8 | 29 | 4 0 -1 |